Entry 1:
Computed powder X-ray diffraction pattern
Compound: CaAcPr2Te4
Radiation: Cu Kα (weighted mean of Kα1 and Kα2)
Structure: a cell relaxed with PBE
Lines closer than 0.1° are merged.

Peak list (6 most intense, 5° ≤ 2θ ≤ 70°, sorted by position)
Position (°2θ), I/Imax
27.5, 100
39.0, 13
39.2, 26
39.4, 25
49.0, 14
56.8, 13

Structural model:
```
data_CaAcPr2Te4
_cell_length_a 7.9325
_cell_length_b 4.5455
_cell_length_c 7.9850
_cell_angle_alpha 90.00
_cell_angle_beta 108.98
_cell_angle_gamma 90.00
_symmetry_space_group_name_H-M 'P 1'
_symmetry_Int_Tables_number 1
loop_
_symmetry_equiv_pos_as_xyz
'x,y,z'
loop_
_atom_site_label
_atom_site_type_symbol
_atom_site_fract_x
_atom_site_fract_y
_atom_site_fract_z
_atom_site_occupancy
Ca1 Ca 0.0000 0.0000 0.0000 1
Ac1 Ac 0.5000 0.5000 0.0000 1
Pr1 Pr 0.0000 0.5000 0.5000 1
Pr2 Pr 0.5000 0.0000 0.5000 1
Te1 Te 0.2390 0.0000 0.7455 1
Te2 Te 0.2413 0.5000 0.2488 1
Te3 Te 0.7587 0.5000 0.7512 1
Te4 Te 0.7610 0.0000 0.2545 1
```

=====

Entry 2:
Computed powder X-ray diffraction pattern
Compound: Zr3Bi
Radiation: Cu Kα (weighted mean of Kα1 and Kα2)
Structure: a cell relaxed with PBE
Lines closer than 0.1° are merged.

Peak list (6 most intense, 5° ≤ 2θ ≤ 70°, sorted by position)
Position (°2θ), I/Imax
23.0, 65
31.9, 56
32.5, 49
33.0, 55
35.6, 100
37.8, 83

Structural model:
```
data_Zr3Bi
_cell_length_a 8.6620
_cell_length_b 8.6620
_cell_length_c 8.6620
_cell_angle_alpha 96.56
_cell_angle_beta 96.56
_cell_angle_gamma 140.50
_symmetry_space_group_name_H-M 'P 1'
_symmetry_Int_Tables_number 1
loop_
_symmetry_equiv_pos_as_xyz
'x,y,z'
loop_
_atom_site_label
_atom_site_type_symbol
_atom_site_fract_x
_atom_site_fract_y
_atom_site_fract_z
_atom_site_occupancy
Zr1 Zr 0.0417 0.0151 0.5981 1
Zr2 Zr 0.0956 0.2807 0.9760 1
Zr3 Zr 0.3047 0.1195 0.0240 1
Zr4 Zr 0.3812 0.0490 0.3759 1
Zr5 Zr 0.4170 0.4436 0.4019 1
Zr6 Zr 0.5564 0.9583 0.9734 1
Zr7 Zr 0.6730 0.0052 0.6241 1
Zr8 Zr 0.7193 0.6953 0.8149 1
Zr9 Zr 0.8805 0.9044 0.1851 1
Zr10 Zr 0.9510 0.3270 0.3322 1
Zr11 Zr 0.9849 0.5830 0.0266 1
Zr12 Zr 0.9948 0.6188 0.6678 1
Bi1 Bi 0.2403 0.4971 0.6808 1
Bi2 Bi 0.4404 0.7597 0.2568 1
Bi3 Bi 0.5029 0.1836 0.7432 1
Bi4 Bi 0.8164 0.5596 0.3192 1
```

=====

Entry 3:
Computed powder X-ray diffraction pattern
Compound: La4PrPb
Radiation: Cu Kα (weighted mean of Kα1 and Kα2)
Structure: a cell relaxed with PBE
Lines closer than 0.1° are merged.

Peak list (6 most intense, 5° ≤ 2θ ≤ 70°, sorted by position)
Position (°2θ), I/Imax
30.0, 99
30.3, 100
34.4, 36
35.2, 65
50.1, 48
60.4, 27

Structural model:
```
data_La4PrPb
_cell_length_a 6.3518
_cell_length_b 7.1593
_cell_length_c 8.9260
_cell_angle_alpha 90.00
_cell_angle_beta 90.97
_cell_angle_gamma 90.00
_symmetry_space_group_name_H-M 'P 1'
_symmetry_Int_Tables_number 1
loop_
_symmetry_equiv_pos_as_xyz
'x,y,z'
loop_
_atom_site_label
_atom_site_type_symbol
_atom_site_fract_x
_atom_site_fract_y
_atom_site_fract_z
_atom_site_occupancy
La1 La 0.0273 0.2500 0.0133 1
La2 La 0.1562 0.5073 0.6577 1
La3 La 0.1562 0.9927 0.6577 1
La4 La 0.3371 0.7500 0.3273 1
La5 La 0.6629 0.2500 0.6727 1
La6 La 0.8438 0.0073 0.3423 1
La7 La 0.8438 0.4927 0.3423 1
La8 La 0.9727 0.7500 0.9867 1
Pr1 Pr 0.5000 0.0000 0.0000 1
Pr2 Pr 0.5000 0.5000 0.0000 1
Pb1 Pb 0.3462 0.2500 0.3399 1
Pb2 Pb 0.6538 0.7500 0.6601 1
```

=====

Entry 4:
Computed powder X-ray diffraction pattern
Compound: Sr3Mg2H5S2
Radiation: Cu Kα (weighted mean of Kα1 and Kα2)
Structure: a cell relaxed with PBE
Lines closer than 0.1° are merged.

Peak list (6 most intense, 5° ≤ 2θ ≤ 70°, sorted by position)
Position (°2θ), I/Imax
22.7, 33
28.7, 68
30.4, 100
38.3, 46
43.5, 47
49.6, 34

Structural model:
```
data_Sr3Mg2H5S2
_cell_length_a 12.1232
_cell_length_b 12.1232
_cell_length_c 12.1232
_cell_angle_alpha 160.26
_cell_angle_beta 160.26
_cell_angle_gamma 28.06
_symmetry_space_group_name_H-M 'P 1'
_symmetry_Int_Tables_number 1
loop_
_symmetry_equiv_pos_as_xyz
'x,y,z'
loop_
_atom_site_label
_atom_site_type_symbol
_atom_site_fract_x
_atom_site_fract_y
_atom_site_fract_z
_atom_site_occupancy
Sr1 Sr 0.0000 0.0000 0.0000 1
Sr2 Sr 0.1818 0.1818 0.0000 1
Sr3 Sr 0.8182 0.8182 0.0000 1
Mg1 Mg 0.4156 0.4156 0.0000 1
Mg2 Mg 0.5844 0.5844 0.0000 1
H1 H 0.0748 0.5748 0.5000 1
H2 H 0.4252 0.9252 0.5000 1
H3 H 0.5000 0.5000 0.0000 1
H4 H 0.5748 0.0748 0.5000 1
H5 H 0.9252 0.4252 0.5000 1
S1 S 0.3097 0.3097 0.0000 1
S2 S 0.6903 0.6903 0.0000 1
```

=====

Entry 5:
Computed powder X-ray diffraction pattern
Compound: Ba3As4Pd7
Radiation: Cu Kα (weighted mean of Kα1 and Kα2)
Structure: a cell relaxed with PBE
Lines closer than 0.1° are merged.

Peak list (6 most intense, 5° ≤ 2θ ≤ 70°, sorted by position)
Position (°2θ), I/Imax
32.3, 85
32.8, 100
33.4, 70
33.6, 72
39.6, 53
41.0, 85

Structural model:
```
data_Ba3As4Pd7
_cell_length_a 8.6787
_cell_length_b 8.6787
_cell_length_c 10.7242
_cell_angle_alpha 126.18
_cell_angle_beta 126.18
_cell_angle_gamma 29.37
_symmetry_space_group_name_H-M 'P 1'
_symmetry_Int_Tables_number 1
loop_
_symmetry_equiv_pos_as_xyz
'x,y,z'
loop_
_atom_site_label
_atom_site_type_symbol
_atom_site_fract_x
_atom_site_fract_y
_atom_site_fract_z
_atom_site_occupancy
Ba1 Ba 0.0000 0.0000 0.0000 1
Ba2 Ba 0.3130 0.3130 0.3100 1
Ba3 Ba 0.6870 0.6870 0.6900 1
As1 As 0.1023 0.1023 0.3904 1
As2 As 0.3278 0.3278 0.9935 1
As3 As 0.6722 0.6722 0.0065 1
As4 As 0.8977 0.8977 0.6096 1
Pd1 Pd 0.0000 0.0000 0.5000 1
Pd2 Pd 0.1368 0.1368 0.8723 1
Pd3 Pd 0.2997 0.2997 0.5971 1
Pd4 Pd 0.4982 0.4982 0.2619 1
Pd5 Pd 0.5018 0.5018 0.7381 1
Pd6 Pd 0.7003 0.7003 0.4029 1
Pd7 Pd 0.8632 0.8632 0.1277 1
```

=====

Entry 6:
Computed powder X-ray diffraction pattern
Compound: Co5CuPt6
Radiation: Cu Kα (weighted mean of Kα1 and Kα2)
Structure: a cell relaxed with PBE
Lines closer than 0.1° are merged.

Peak list (6 most intense, 5° ≤ 2θ ≤ 70°, sorted by position)
Position (°2θ), I/Imax
24.1, 25
33.0, 23
41.2, 100
47.2, 17
47.4, 17
49.3, 15

Structural model:
```
data_Co5CuPt6
_cell_length_a 6.0826
_cell_length_b 6.0826
_cell_length_c 7.3957
_cell_angle_alpha 90.00
_cell_angle_beta 90.00
_cell_angle_gamma 143.20
_symmetry_space_group_name_H-M 'P 1'
_symmetry_Int_Tables_number 1
loop_
_symmetry_equiv_pos_as_xyz
'x,y,z'
loop_
_atom_site_label
_atom_site_type_symbol
_atom_site_fract_x
_atom_site_fract_y
_atom_site_fract_z
_atom_site_occupancy
Co1 Co 0.0000 0.0000 0.0000 1
Co2 Co 0.3256 0.6744 0.5000 1
Co3 Co 0.3331 0.6669 0.0000 1
Co4 Co 0.6669 0.3331 0.0000 1
Co5 Co 0.6744 0.3256 0.5000 1
Cu1 Cu 0.0000 0.0000 0.5000 1
Pt1 Pt 0.1672 0.8328 0.2469 1
Pt2 Pt 0.1672 0.8328 0.7531 1
Pt3 Pt 0.5000 0.5000 0.2489 1
Pt4 Pt 0.5000 0.5000 0.7511 1
Pt5 Pt 0.8328 0.1672 0.2469 1
Pt6 Pt 0.8328 0.1672 0.7531 1
```